1.
Structure and calculated powder diffractogram of Rb3TlV2Br9 (a crystal structure in Alexandria, relaxed with PBE; Cu Kα (weighted mean of Kα1 and Kα2)).
Lines closer than 0.1° are merged.

Top 12 peaks for 2θ = 15–90°, sorted by position:
d/Å	2θ (°)	I_rel	hkl
5.590	15.9	37.8	1 0 1
4.123	21.6	21.6	0 1 2
3.802	23.4	13.5	1 1 0
3.144	28.4	45.5	0 2 1
2.795	32.0	100.0	2 0 2
2.644	33.9	14.8	0 0 4
2.406	37.4	20.0	0 2 3
2.062	43.9	15.9	0 2 4
1.901	47.8	32.0	2 2 0
1.572	58.7	16.8	0 4 2
1.544	59.9	16.7	2 2 4
1.211	79.0	14.2	4 2 2

Atomic structure:
Lattice parameters (Å, degrees): 7.6042 7.6042 10.5761 90.00 90.00 120.00
Space group P-3m1 (No. 164)
Asymmetric unit:
Rb 0.0000 0.0000 0.0000 [1 per cell]
Rb 0.3333 0.6667 0.7269 [2 per cell]
Tl 0.0000 0.0000 0.5000 [1 per cell]
V 0.3333 0.6667 0.1509 [2 per cell]
Br 0.0000 0.5000 0.0000 [3 per cell]
Br 0.1736 0.3472 0.2837 [6 per cell]

---

2.
Structure and calculated powder diffractogram of RbTlZn2Br6 (a crystal structure in Alexandria, relaxed with PBE; Cu Kα (weighted mean of Kα1 and Kα2)).
Lines closer than 0.1° are merged.

Top 12 peaks for 2θ = 15–90°, sorted by position:
d/Å	2θ (°)	I_rel	hkl
5.156	17.2	44.4	0 0 2
4.892	18.1	44.7	1 1 -2
4.558	19.5	44.5	1 3 0
4.263	20.8	39.6	2 2 -1
3.135	28.5	51.5	0 2 3
3.063	29.2	100.0	2 4 0
2.988	29.9	33.4	2 2 2
2.977	30.0	39.6	1 1 3
2.506	35.8	30.4	4 2 -1
2.436	36.9	31.6	2 2 3
2.280	39.5	29.0	2 6 0
2.258	39.9	28.3	4 2 -3

Atomic structure:
Lattice parameters (Å, degrees): 10.6108 15.2617 10.6647 90.00 104.73 90.00
Space group C2/c (No. 15)
Asymmetric unit:
Rb 0.0000 0.0724 0.2500 [4 per cell]
Tl 0.0000 0.4107 0.7500 [4 per cell]
Zn 0.1647 0.3571 0.3310 [8 per cell]
Br 0.0397 0.3791 0.0946 [8 per cell]
Br 0.2055 0.0172 0.5860 [8 per cell]
Br 0.2403 0.2838 0.6740 [8 per cell]

---

3.
Structure and calculated powder diffractogram of Rb2ZrTlBr8 (a crystal structure in Alexandria, relaxed with PBE; Cu Kα (weighted mean of Kα1 and Kα2)).
Lines closer than 0.1° are merged.

Top 12 peaks for 2θ = 15–90°, sorted by position:
d/Å	2θ (°)	I_rel	hkl
5.166	17.2	100.0	1 1 0
3.903	22.8	77.4	1 0 2
3.867	23.0	54.4	1 0 -2
3.476	25.6	36.7	1 -1 2
3.399	26.2	69.3	1 -2 0
2.630	34.1	55.2	2 1 2
2.606	34.4	70.5	2 1 -2
2.580	34.8	33.4	2 -2 0
2.438	36.9	35.8	1 -3 0
2.352	38.3	33.1	0 0 4
2.286	39.4	24.0	0 3 2
2.276	39.6	25.0	0 3 -2

Atomic structure:
Lattice parameters (Å, degrees): 6.8787 7.8239 9.4086 89.68 89.50 89.86
Space group P-1 (No. 2)
Asymmetric unit:
Rb 0.0046 0.9995 0.2347 [2 per cell]
Zr 0.5000 0.5000 0.0000 [1 per cell]
Tl 0.5000 0.5000 0.5000 [1 per cell]
Br 0.2617 0.3875 0.2051 [2 per cell]
Br 0.2650 0.3822 0.7992 [2 per cell]
Br 0.3133 0.7966 0.9962 [2 per cell]
Br 0.3305 0.8934 0.5012 [2 per cell]

---

4.
Structure and calculated powder diffractogram of RbTmBr4 (a crystal structure in Alexandria, relaxed with PBE; Cu Kα (weighted mean of Kα1 and Kα2)).
Lines closer than 0.1° are merged.

Top 12 peaks for 2θ = 15–90°, sorted by position:
d/Å	2θ (°)	I_rel	hkl
5.151	17.2	63.0	1 -1 0
4.647	19.1	100.0	1 1 0
4.132	21.5	53.3	-1 1 1
3.101	28.8	39.0	1 2 0
3.094	28.9	31.6	1 -2 1
3.076	29.0	79.4	2 1 2
2.981	30.0	56.0	1 0 3
2.575	34.8	48.8	2 2 2
2.565	35.0	25.0	1 -1 3
2.410	37.3	65.1	1 3 1
2.302	39.1	56.7	-1 1 3
1.977	45.9	33.1	0 2 -3

Atomic structure:
Lattice parameters (Å, degrees): 6.9976 7.7537 9.2195 75.78 67.91 89.99
Space group P-1 (No. 2)
Asymmetric unit:
Rb 0.2047 0.2514 0.4972 [2 per cell]
Tm 0.0000 0.5000 0.0000 [1 per cell]
Tm 0.5000 0.0000 0.0000 [1 per cell]
Br 0.1270 0.1621 0.1095 [2 per cell]
Br 0.2647 0.6619 0.1092 [2 per cell]
Br 0.2837 0.5533 0.6948 [2 per cell]
Br 0.4820 0.9469 0.3048 [2 per cell]